This entry pairs a crystal structure of Tm3Ge2Pd with its calculated XRD peak list. Radiation: Cu Kα, 1.54184 Å. Structure: a cell relaxed with PBE.
Kinematic intensities with the Lorentz-polarization factor, no thermal factor.

Most intense lines, 10° ≤ 2θ ≤ 80°, by intensity:
index  two_theta  I_rel
3 1 2  35.52  100
0 1 3  32.04  96
0 2 0  42.48  64
2 1 2  30.75  54
4 1 1  38.82  49
2 1 1  27.33  42
1 0 4  33.20  38
3 0 2  28.41  35
2 1 4  41.94  31
4 0 2  35.32  27

Lattice parameters (Å, degrees): 11.430 4.256 11.109 90.00 90.00 90.00
Space group Pnma (No. 62)
Asymmetric unit:
Tm 0.052 0.250 0.127 x4
Tm 0.124 0.750 0.561 x4
Tm 0.220 0.250 0.805 x4
Ge 0.007 0.750 0.311 x4
Ge 0.184 0.750 0.007 x4
Pd 0.129 0.250 0.373 x4